Diffraction record for LiLa2Mg2Tl4. The X-ray powder pattern is calculated, not measured: it uses the GGA-PBE geometry in Alexandria and CuKα.
No peak broadening, texture or thermal motion is included.

Largest 8 diffraction maxima, low angle first, 15° ≤ 2θ ≤ 90°:
d = 4.783 Å, rel. 17
d = 3.536 Å, rel. 14
d = 2.843 Å, rel. 100
d = 2.500 Å, rel. 35
d = 2.392 Å, rel. 16
d = 1.728 Å, rel. 23
d = 1.501 Å, rel. 26
d = 1.454 Å, rel. 12

```
LiLa2Mg2Tl4
1.0
-3.536 3.536 4.783
3.536 -3.536 4.783
3.536 3.536 -4.783
Li La Mg Tl
1 2 2 4
direct
0.000 0.000 0.000 Li
0.250 0.750 0.500 La
0.750 0.250 0.500 La
0.286 0.286 0.000 Mg
0.714 0.714 0.000 Mg
0.266 0.266 0.533 Tl
0.266 0.734 0.000 Tl
0.734 0.266 0.000 Tl
0.734 0.734 0.467 Tl
```